(1)
Theoretical XRD peak list of KTcMoO6 for Cu Kα, from a DFT-relaxed cell (GGA+U, Alexandria).

The 6 most intense peaks (2θ = 15–90°), by angle:
2theta  Rel. int.
19.25  25
24.47  100
33.68  36
37.03  35
42.07  15
45.85  54

Atomic structure:
```
KTcMoO6
1.0
5.3177 0.0000 0.0000
2.6585 4.6143 0.0000
0.0072 0.0009 5.9197
K Tc Mo O
1 1 1 6
direct
0.0000 0.0000 0.0000
0.6665 0.6671 0.5290
0.3333 0.3330 0.4837
0.0046 0.4029 0.6961
0.3895 0.9989 0.3266
0.4033 0.5920 0.6961
0.5929 0.0041 0.6959
0.6116 0.3896 0.3266
0.9988 0.6111 0.3264
```

---

(2)
Theoretical XRD peak list of KTc2MoO8 for Cu Kα, from a DFT-relaxed cell (GGA+U, Alexandria).

The 6 most intense peaks (2θ = 15–90°), by angle:
2theta  Rel. int.
21.26  100
29.84  40
30.65  47
43.30  20
49.26  19
58.92  17

Atomic structure:
```
KTc2MoO8
1.0
5.8347 0.0000 0.0000
-2.9174 5.0530 0.0000
0.0000 0.0000 7.4339
K Tc Mo O
1 2 1 8
direct
0.0000 0.0000 0.0000
0.3333 0.6667 0.7502
0.6667 0.3333 0.2498
0.0000 0.0000 0.5000
0.1640 0.8329 0.6694
0.1671 0.3312 0.6694
0.3312 0.1640 0.3306
0.3333 0.6667 0.9852
0.6667 0.3333 0.0148
0.6688 0.8360 0.6694
0.8329 0.6688 0.3306
0.8360 0.1671 0.3306
```

---

(3)
Theoretical XRD peak list of K4ThMo4O16 for Cu Kα, from a DFT-relaxed cell (GGA+U, Alexandria).

The 6 most intense peaks (2θ = 15–90°), by angle:
2theta  Rel. int.
18.02  26
23.50  25
26.83  23
27.33  100
43.70  25
47.69  19

Atomic structure:
```
K4ThMo4O16
1.0
-5.9233 5.9233 6.6462
5.9233 -5.9233 6.6462
5.9233 5.9233 -6.6462
K Th Mo O
8 2 8 32
direct
0.0452 0.6557 0.9148
0.1557 0.7410 0.6105
0.2410 0.1305 0.5852
0.3695 0.4548 0.1105
0.6305 0.5452 0.8895
0.7590 0.8695 0.4148
0.8443 0.2590 0.3895
0.9548 0.3443 0.0852
0.3750 0.1250 0.2500
0.6250 0.8750 0.7500
0.0444 0.0275 0.8381
0.2937 0.4556 0.4831
0.3105 0.7937 0.3381
0.4725 0.8105 0.0169
0.5275 0.1895 0.9831
0.6895 0.2063 0.6619
0.7063 0.5444 0.5169
0.9556 0.9725 0.1619
0.0887 0.2213 0.9356
0.0956 0.3970 0.3870
0.1030 0.9899 0.6986
0.1404 0.9794 0.9843
0.1616 0.0851 0.2830
0.2087 0.5956 0.1986
0.2143 0.8469 0.4356
0.2787 0.7143 0.8674
0.3021 0.8786 0.2170
0.3439 0.3596 0.3390
0.3469 0.4113 0.6326
0.3786 0.6616 0.5765
0.4149 0.1979 0.0765
0.4794 0.9951 0.8390
0.4899 0.2913 0.8870
0.4951 0.1561 0.5157
0.5049 0.8439 0.4843
0.5101 0.7087 0.1130
0.5206 0.0049 0.1610
0.5851 0.8021 0.9235
0.6214 0.3384 0.4235
0.6531 0.5887 0.3674
0.6561 0.6404 0.6610
0.6979 0.1214 0.7830
0.7213 0.2857 0.1326
0.7857 0.1531 0.5644
0.7913 0.4044 0.8014
0.8384 0.9149 0.7170
0.8596 0.0206 0.0157
0.8970 0.0101 0.3014
0.9044 0.6030 0.6130
0.9113 0.7787 0.0644
```

---

(4)
Theoretical XRD peak list of K6U2Mo4O21 for Cu Kα, from a DFT-relaxed cell (GGA+U, Alexandria).

The 6 most intense peaks (2θ = 15–90°), by angle:
2theta  Rel. int.
15.20  100
23.43  38
24.78  41
25.15  57
26.63  56
27.51  52

Atomic structure:
```
K6U2Mo4O21
1.0
7.9171 0.0000 0.0000
1.2930 8.0402 0.0000
0.9549 3.4877 10.0405
K U Mo O
6 2 4 21
direct
0.0714 0.1126 0.2194
0.2893 0.6597 0.4808
0.4051 0.2220 0.8391
0.5949 0.7780 0.1609
0.7107 0.3403 0.5192
0.9286 0.8874 0.7806
0.4825 0.7181 0.8170
0.5175 0.2819 0.1830
0.1508 0.6546 0.1113
0.2597 0.1404 0.5303
0.7403 0.8596 0.4697
0.8492 0.3454 0.8887
0.0383 0.2091 0.5042
0.0741 0.3034 0.8781
0.2109 0.7420 0.9343
0.2228 0.4178 0.1817
0.2358 0.7696 0.2021
0.2781 0.9384 0.6728
0.3548 0.3033 0.5661
0.3606 0.1006 0.3808
0.4271 0.5761 0.7275
0.4527 0.1289 0.1068
0.5000 0.5000 0.0000
0.5473 0.8711 0.8932
0.5729 0.4239 0.2725
0.6394 0.8994 0.6192
0.6452 0.6967 0.4339
0.7219 0.0616 0.3272
0.7642 0.2304 0.7979
0.7772 0.5822 0.8183
0.7891 0.2580 0.0657
0.9259 0.6966 0.1219
0.9617 0.7909 0.4958
```

---

(5)
Theoretical XRD peak list of K2VMo3O12 for Cu Kα, from a DFT-relaxed cell (GGA+U, Alexandria).

The 6 most intense peaks (2θ = 15–90°), by angle:
2theta  Rel. int.
15.18  82
28.49  86
28.70  87
29.86  100
49.59  43
50.61  42

Atomic structure:
```
K2VMo3O12
1.0
3.6765 2.1226 5.8358
-3.6765 2.1226 5.8358
0.0000 -4.2453 5.8358
K V Mo O
2 1 3 12
direct
0.1249 0.1249 0.1249
0.8751 0.8751 0.8751
0.5000 0.5000 0.5000
0.0000 0.5000 0.5000
0.5000 0.0000 0.5000
0.5000 0.5000 0.0000
0.1841 0.1841 0.5612
0.1841 0.5612 0.1841
0.1971 0.5578 0.5578
0.4388 0.8159 0.8159
0.4422 0.4422 0.8029
0.4422 0.8029 0.4422
0.5578 0.1971 0.5578
0.5578 0.5578 0.1971
0.5612 0.1841 0.1841
0.8029 0.4422 0.4422
0.8159 0.4388 0.8159
0.8159 0.8159 0.4388
```

---

(6)
Theoretical XRD peak list of KYMo2O8 for Cu Kα, from a DFT-relaxed cell (GGA+U, Alexandria).

The 6 most intense peaks (2θ = 15–90°), by angle:
2theta  Rel. int.
22.29  35
28.45  100
29.04  37
29.29  58
45.99  38
52.15  19

Atomic structure:
```
KYMo2O8
1.0
5.1466 0.0000 0.0000
0.0000 18.9223 0.0000
0.0000 0.0000 8.0943
K Y Mo O
4 4 8 32
direct
0.0000 0.2243 0.2500
0.0000 0.7757 0.7500
0.5000 0.2757 0.7500
0.5000 0.7243 0.2500
0.0000 0.0034 0.7500
0.0000 0.9966 0.2500
0.5000 0.4966 0.2500
0.5000 0.5034 0.7500
0.0226 0.4001 0.5082
0.0226 0.5999 0.0081
0.4774 0.0999 0.0081
0.4774 0.9001 0.5082
0.5226 0.0999 0.4918
0.5226 0.9001 0.9918
0.9774 0.4001 0.9918
0.9774 0.5999 0.4918
0.1000 0.3136 0.9873
0.1000 0.6864 0.4873
0.2337 0.4047 0.3317
0.2337 0.5953 0.8317
0.2418 0.4077 0.6833
0.2418 0.5923 0.1833
0.2482 0.0353 0.5026
0.2482 0.9647 0.0026
0.2518 0.4647 0.0026
0.2518 0.5353 0.5026
0.2582 0.0923 0.1833
0.2582 0.9077 0.6833
0.2663 0.0953 0.8317
0.2663 0.9047 0.3317
0.4000 0.1864 0.4873
0.4000 0.8136 0.9873
0.6000 0.1864 0.0127
0.6000 0.8136 0.5127
0.7337 0.0953 0.6683
0.7337 0.9047 0.1683
0.7418 0.0923 0.3167
0.7418 0.9077 0.8167
0.7482 0.4647 0.4974
0.7482 0.5353 0.9974
0.7518 0.0353 0.9974
0.7518 0.9647 0.4974
0.7582 0.4077 0.8167
0.7582 0.5923 0.3167
0.7663 0.4047 0.1683
0.7663 0.5953 0.6683
0.9000 0.3136 0.5127
0.9000 0.6864 0.0127
```

---

(7)
Theoretical XRD peak list of K5YbMo4O16 for Cu Kα, from a DFT-relaxed cell (GGA+U, Alexandria).

The 6 most intense peaks (2θ = 15–90°), by angle:
2theta  Rel. int.
18.56  30
27.13  100
27.76  51
28.80  97
28.96  52
40.55  39

Atomic structure:
```
K5YbMo4O16
1.0
7.8467 0.0000 0.0000
0.0000 6.1670 0.0000
-2.5976 0.0000 9.3985
K Yb Mo O
5 1 4 16
direct
0.0000 0.0000 0.0000
0.1564 0.5000 0.7079
0.4192 0.0000 0.8117
0.5808 0.0000 0.1883
0.8436 0.5000 0.2921
0.5000 0.5000 0.5000
0.1932 0.0000 0.4077
0.2847 0.5000 0.0978
0.7153 0.5000 0.9022
0.8068 0.0000 0.5923
0.0431 0.0000 0.6553
0.0869 0.5000 0.1546
0.2722 0.0000 0.2551
0.2843 0.2465 0.5053
0.2843 0.7535 0.5053
0.2924 0.2673 0.9901
0.2924 0.7327 0.9901
0.4728 0.5000 0.2592
0.5272 0.5000 0.7408
0.7076 0.2673 0.0099
0.7076 0.7327 0.0099
0.7157 0.2465 0.4947
0.7157 0.7535 0.4947
0.7278 0.0000 0.7449
0.9131 0.5000 0.8454
0.9569 0.0000 0.3447
```